No. 1
Diffraction record for LaTbPm2N4. The X-ray diffraction stick pattern is computed, not measured: it uses DFT lattice parameters and positions (GGA-PBE) and Cu Kα.
Peak positions follow from Bragg's law for the DFT cell and can differ from measured ones.

Top 10 peaks for 2θ from 10° to 90°, low angle first:
2θ (°), I_rel
30.22, 100
35.03, 74
50.39, 52
59.89, 46
62.84, 17
74.02, 8
81.92, 6
82.02, 13
84.58, 15
84.65, 8

Atomic structure:
```
LaTbPm2N4
1.0
6.270 0.000 0.000
0.000 3.621 0.000
-2.085 0.000 5.920
La Tb Pm N
1 1 2 4
direct
0.000 0.000 0.000
0.000 0.500 0.500
0.500 0.000 0.500
0.500 0.500 0.000
0.247 0.000 0.744
0.252 0.500 0.257
0.748 0.500 0.743
0.753 0.000 0.256
```

***

No. 2
Diffraction record for La2PmUN5. The X-ray diffraction stick pattern is computed, not measured: it uses DFT lattice parameters and positions (GGA-PBE) and Cu Kα.
Peak positions follow from Bragg's law for the DFT cell and can differ from measured ones.

Top 10 peaks for 2θ from 10° to 90°, low angle first:
2θ (°), I_rel
29.13, 100
30.70, 54
39.23, 15
43.98, 23
50.62, 24
53.62, 38
60.39, 16
81.81, 10
85.78, 11
88.14, 10

Atomic structure:
```
La2PmUN5
1.0
4.118 0.000 0.000
0.000 4.118 0.000
0.000 0.000 9.185
La Pm U N
2 1 1 5
direct
0.000 0.000 0.229
0.000 0.000 0.771
0.500 0.500 0.500
0.500 0.500 0.000
0.000 0.000 0.500
0.000 0.500 0.000
0.500 0.000 0.000
0.500 0.500 0.246
0.500 0.500 0.754
```

***

No. 3
Diffraction record for La4PmU3N8. The X-ray diffraction stick pattern is computed, not measured: it uses DFT lattice parameters and positions (GGA-PBE) and Cu Kα.
Peak positions follow from Bragg's law for the DFT cell and can differ from measured ones.

Top 10 peaks for 2θ from 10° to 90°, low angle first:
2θ (°), I_rel
30.12, 36
30.67, 100
35.40, 93
50.58, 32
51.29, 32
60.00, 17
60.64, 32
60.96, 15
63.87, 16
86.23, 15

Atomic structure:
```
La4PmU3N8
1.0
3.562 2.057 5.934
-3.562 2.057 5.934
0.000 -4.114 5.934
La Pm U N
4 1 3 8
direct
0.000 0.000 0.000
0.000 0.500 0.500
0.500 0.000 0.500
0.500 0.500 0.000
0.500 0.500 0.500
0.000 0.000 0.500
0.000 0.500 0.000
0.500 0.000 0.000
0.208 0.747 0.747
0.232 0.232 0.232
0.253 0.253 0.792
0.253 0.792 0.253
0.747 0.208 0.747
0.747 0.747 0.208
0.768 0.768 0.768
0.792 0.253 0.253
```

***

No. 4
Diffraction record for La2PmWN4. The X-ray diffraction stick pattern is computed, not measured: it uses DFT lattice parameters and positions (GGA-PBE) and Cu Kα.
Peak positions follow from Bragg's law for the DFT cell and can differ from measured ones.

Top 10 peaks for 2θ from 10° to 90°, low angle first:
2θ (°), I_rel
27.69, 66
29.33, 32
30.15, 33
30.25, 100
34.10, 25
34.80, 35
36.90, 78
46.14, 20
49.50, 22
50.54, 35

Atomic structure:
```
La2PmWN4
1.0
1.728 -6.091 0.000
1.728 6.091 0.000
0.000 0.000 12.886
La Pm W N
4 2 2 8
direct
0.132 0.868 0.538
0.132 0.868 0.962
0.868 0.132 0.038
0.868 0.132 0.462
0.414 0.586 0.750
0.586 0.414 0.250
0.325 0.675 0.250
0.675 0.325 0.750
0.071 0.929 0.750
0.226 0.774 0.137
0.226 0.774 0.363
0.500 0.500 0.000
0.500 0.500 0.500
0.774 0.226 0.637
0.774 0.226 0.863
0.929 0.071 0.250
```